# UMnO4
Computed PXRD pattern, Cu Ka. Input: the PBE+U geometry in the Materials Project.
Neutral-atom scattering factors, no anomalous dispersion.

Most intense lines, 10 to 90 degrees two-theta, low angle first:
index, Position (°2θ), I_rel
1 0 1, 18.46, 78
0 0 2, 25.99, 50
2 0 0, 26.43, 49
1 2 1, 31.60, 100
1 2 3, 49.51, 36
3 2 1, 50.01, 37

Cell and atoms:
```
data_UMnO4
_chemical_formula_sum 'U4 Mn4 O16'
_cell_length_a 6.743
_cell_length_b 7.006
_cell_length_c 6.855
_cell_angle_alpha 90.00
_cell_angle_beta 90.00
_cell_angle_gamma 90.00
_space_group_name_H-M_alt 'I m m a'
_space_group_IT_number 74
_space_group_name_Hall '-I 2b 2'
loop_
_atom_site_label
_atom_site_type_symbol
_atom_site_fract_x
_atom_site_fract_y
_atom_site_fract_z
U1 U 0.000 0.250 0.017
Mn1 Mn 0.000 0.000 0.500
O1 O 0.000 0.014 0.813
O2 O 0.207 0.250 0.481
```



# V2Bi8O17
Computed PXRD pattern, Cu Ka. Input: the PBE+U geometry in the Materials Project.
Neutral-atom scattering factors, no anomalous dispersion.

Most intense lines, 10 to 90 degrees two-theta, low angle first:
index, Position (°2θ), I_rel
0 0 9, 25.46, 24
2 0 -4, 26.15, 41
1 1 3, 28.39, 100
2 0 6, 31.17, 29
1 1 -7, 32.81, 29
3 1 -1, 44.43, 25

Cell and atoms:
```
data_V2Bi8O17
_chemical_formula_sum 'V4 Bi16 O34'
_cell_length_a 7.286
_cell_length_b 3.753
_cell_length_c 31.594
_cell_angle_alpha 90.00
_cell_angle_beta 94.86
_cell_angle_gamma 90.00
_space_group_name_H-M_alt 'C 1 m 1'
_space_group_IT_number 8
loop_
_space_group_symop_operation_xyz
'x,y,z'
'x,-y,z'
'x+1/2,y+1/2,z'
'x+1/2,-y+1/2,z'
loop_
_atom_site_label
_atom_site_type_symbol
_atom_site_fract_x
_atom_site_fract_y
_atom_site_fract_z
V1 V 0.000 0.000 0.000
V2 V 0.235 0.000 0.178
Bi1 Bi 0.033 0.500 0.803
Bi2 Bi 0.037 0.000 0.265
Bi3 Bi 0.129 0.000 0.586
Bi4 Bi 0.137 0.500 0.088
Bi5 Bi 0.193 0.000 0.913
Bi6 Bi 0.228 0.500 0.371
Bi7 Bi 0.375 0.000 0.484
Bi8 Bi 0.377 0.500 0.695
O1 O 0.013 0.000 0.192
O2 O 0.041 0.500 0.011
O3 O 0.053 0.000 0.368
O4 O 0.060 0.500 0.878
O5 O 0.112 0.000 0.513
O6 O 0.125 0.000 0.661
O7 O 0.192 0.500 0.296
O8 O 0.197 0.500 0.165
O9 O 0.225 0.000 0.987
O10 O 0.272 0.500 0.446
O11 O 0.293 0.000 0.119
O12 O 0.330 0.000 0.233
O13 O 0.359 0.500 0.798
O14 O 0.411 0.500 0.943
O15 O 0.442 0.500 0.058
O16 O 0.453 0.000 0.581
O17 O 0.492 0.000 0.729
```